Structure and theoretical powder diffraction line list of NaYIrO4 (DFT lattice parameters and positions (PBE); Cu Kα (λ = 1.5418 Å)).
Kinematic intensities with the Lorentz-polarization factor, no thermal factor.

Crystal structure
Unit cell a=3.257 b=9.397 c=9.397 alpha=118.39 beta=90.00 gamma=90.00
Fractional coordinates of all 21 atoms:
Na1 0.000 0.000 0.000
Na2 0.500 0.019 0.717
Na3 0.500 0.717 0.019
Y1 0.500 0.317 0.317
Y2 0.500 0.360 0.704
Y3 0.500 0.704 0.360
Ir1 0.000 0.021 0.345
Ir2 0.000 0.345 0.021
Ir3 0.000 0.686 0.686
O1 0.000 0.234 0.777
O2 0.000 0.275 0.469
O3 0.000 0.469 0.275
O4 0.000 0.554 0.803
O5 0.000 0.777 0.234
O6 0.000 0.803 0.554
O7 0.500 0.017 0.472
O8 0.500 0.032 0.212
O9 0.500 0.212 0.032
O10 0.500 0.472 0.017
O11 0.500 0.557 0.557
O12 0.500 0.817 0.817

Peak list (8 most intense, 2θ from 10° to 90°, in order of rising 2θ)
- 4.813 Å, 18.4 deg, intensity 547
- 4.697 Å, 18.9 deg, intensity 688
- 2.756 Å, 32.5 deg, intensity 770
- 2.694 Å, 33.3 deg, intensity 749
- 2.677 Å, 33.5 deg, intensity 1000
- 1.935 Å, 46.9 deg, intensity 301
- 1.905 Å, 47.7 deg, intensity 397
- 1.571 Å, 58.8 deg, intensity 292